Record 1
Starting from DFT lattice parameters and positions (PBE+U), the PXRD pattern of AlV2O6 was simulated for Cu Kα, 1.54184 Å.

Peak list (8 most intense, 15° ≤ 2θ ≤ 90°, most intense first)
| d [Å] | Position (°2θ) | Rel. int. | h k l |
| --- | --- | --- | --- |
| 4.016 | 22.1 | 100 | 2 0 1 |
| 3.345 | 26.6 | 76 | 2 0 -2 |
| 2.792 | 32.1 | 51 | 1 1 -1 |
| 2.721 | 32.9 | 39 | 1 1 1 |
| 3.964 | 22.4 | 34 | 0 0 2 |
| 2.407 | 37.4 | 31 | 1 1 -2 |
| 5.045 | 17.6 | 26 | 2 0 0 |
| 1.928 | 47.2 | 20 | 1 1 3 |

```
data_AlV2O6
_symmetry_space_group_name_H-M 'C 1 2/m 1'
_symmetry_Int_Tables_number 12
_symmetry_space_group_name_Hall '-C 2y'
_cell_length_a 10.1838
_cell_length_b 3.0720
_cell_length_c 8.0021
_cell_angle_alpha 90.00
_cell_angle_beta 97.80
_cell_angle_gamma 90.00
loop_
_atom_site_label
_atom_site_type_symbol
_atom_site_fract_x
_atom_site_fract_y
_atom_site_fract_z
_atom_site_occupancy
Al1 Al 0.0000 0.0000 0.0000 1
V1 V 0.1902 0.5000 0.7385 1
O1 O 0.0685 0.5000 0.8816 1
O2 O 0.1530 0.0000 0.1565 1
O3 O 0.1633 0.0000 0.6185 1
```

Record 2
Starting from DFT lattice parameters and positions (PBE+U), the PXRD pattern of AlVO4 was simulated for Cu Kα, 1.54184 Å.

Peak list (8 most intense, 15° ≤ 2θ ≤ 90°, most intense first)
| d [Å] | Position (°2θ) | Rel. int. | h k l |
| --- | --- | --- | --- |
| 4.614 | 19.2 | 100 | 1 1 1 |
| 2.826 | 31.7 | 28 | 2 2 0 |
| 1.834 | 49.7 | 16 | 3 3 1 |
| 2.307 | 39.0 | 7 | 2 2 2 |
| 1.633 | 56.4 | 6 | 4 2 2 |
| 1.352 | 69.5 | 6 | 5 1 3 |
| 1.412 | 66.2 | 4 | 4 0 4 |
| 3.996 | 22.2 | 4 | 2 0 0 |

```
data_AlVO4
_symmetry_space_group_name_H-M 'C 2 2 21'
_symmetry_Int_Tables_number 20
_symmetry_space_group_name_Hall 'C 2c 2'
_cell_length_a 8.0041
_cell_length_b 8.0044
_cell_length_c 7.9690
_cell_angle_alpha 90.00
_cell_angle_beta 90.00
_cell_angle_gamma 90.00
loop_
_atom_site_label
_atom_site_type_symbol
_atom_site_fract_x
_atom_site_fract_y
_atom_site_fract_z
_atom_site_occupancy
Al1 Al 0.2306 0.0000 0.0000 1
V1 V 0.0000 0.2694 0.2500 1
O1 O 0.1032 0.1447 0.1062 1
O2 O 0.1431 0.3943 0.3539 1
```

Record 3
Starting from DFT lattice parameters and positions (PBE+U), the PXRD pattern of Al2VO4 was simulated for Cu Kα, 1.54184 Å.

Peak list (8 most intense, 15° ≤ 2θ ≤ 90°, most intense first)
| d [Å] | Position (°2θ) | Rel. int. | h k l |
| --- | --- | --- | --- |
| 2.526 | 35.5 | 100 | 2 1 1 |
| 2.914 | 30.7 | 65 | 1 1 2 |
| 1.457 | 63.9 | 57 | 2 2 4 |
| 2.454 | 36.6 | 57 | 1 0 3 |
| 1.616 | 57.0 | 51 | 3 2 1 |
| 2.974 | 30.1 | 37 | 2 0 0 |
| 1.487 | 62.5 | 29 | 4 0 0 |
| 1.560 | 59.2 | 20 | 1 0 5 |

```
data_Al2VO4
_symmetry_space_group_name_H-M 'I 41/a m d'
_symmetry_Int_Tables_number 141
_cell_length_a 5.9470
_cell_length_b 5.9470
_cell_length_c 8.0822
_cell_angle_alpha 90.00
_cell_angle_beta 90.00
_cell_angle_gamma 90.00
loop_
_symmetry_equiv_pos_as_xyz
'x,y,z'
'-x,-y,-z'
'-y+1/4,x+3/4,z+1/4'
'y+1/4,-x+3/4,-z+1/4'
'-x+1/2,-y,z+1/2'
'x+1/2,y,-z+1/2'
'y+1/4,-x+1/4,z+3/4'
'-y+1/4,x+1/4,-z+3/4'
'x,-y,-z'
'-x,y,z'
'-y+1/4,-x+1/4,-z+3/4'
'y+1/4,x+1/4,z+3/4'
'-x+1/2,y,-z+1/2'
'x+1/2,-y,z+1/2'
'y+1/4,x+3/4,-z+1/4'
'-y+1/4,-x+3/4,z+1/4'
'x+1/2,y+1/2,z+1/2'
'-x+1/2,-y+1/2,-z+1/2'
'-y+3/4,x+1/4,z+3/4'
'y+3/4,-x+1/4,-z+3/4'
'-x,-y+1/2,z'
'x,y+1/2,-z'
'y+3/4,-x+3/4,z+1/4'
'-y+3/4,x+3/4,-z+1/4'
'x+1/2,-y+1/2,-z+1/2'
'-x+1/2,y+1/2,z+1/2'
'-y+3/4,-x+3/4,-z+1/4'
'y+3/4,x+3/4,z+1/4'
'-x,y+1/2,-z'
'x,-y+1/2,z'
'y+3/4,x+1/4,-z+3/4'
'-y+3/4,-x+1/4,z+3/4'
loop_
_atom_site_label
_atom_site_type_symbol
_atom_site_fract_x
_atom_site_fract_y
_atom_site_fract_z
_atom_site_occupancy
Al1 Al 0.0000 0.0000 0.0000 1
V1 V 0.0000 0.2500 0.3750 1
O1 O 0.0000 0.0389 0.7618 1
```

Record 4
Starting from DFT lattice parameters and positions (PBE+U), the PXRD pattern of Al2VO5 was simulated for Cu Kα, 1.54184 Å.

Peak list (8 most intense, 15° ≤ 2θ ≤ 90°, most intense first)
| d [Å] | Position (°2θ) | Rel. int. | h k l |
| --- | --- | --- | --- |
| 3.407 | 26.2 | 100 | 1 1 0 |
| 4.743 | 18.7 | 70 | 0 2 0 |
| 2.642 | 33.9 | 64 | 0 2 3 |
| 1.825 | 50.0 | 43 | 2 0 0 |
| 1.901 | 47.8 | 38 | 0 4 3 |
| 3.208 | 27.8 | 36 | 1 1 1 |
| 2.131 | 42.4 | 24 | 0 2 4 |
| 1.688 | 54.3 | 24 | 1 3 4 |

```
data_Al2VO5
_symmetry_space_group_name_H-M 'C m c m'
_symmetry_Int_Tables_number 63
_symmetry_space_group_name_Hall '-C 2c 2'
_cell_length_a 3.6502
_cell_length_b 9.4854
_cell_length_c 9.5429
_cell_angle_alpha 90.00
_cell_angle_beta 90.00
_cell_angle_gamma 90.00
loop_
_atom_site_label
_atom_site_type_symbol
_atom_site_fract_x
_atom_site_fract_y
_atom_site_fract_z
_atom_site_occupancy
Al1 Al 0.0000 0.1389 0.0589 1
V1 V 0.0000 0.1893 0.7500 1
O1 O 0.0000 0.0459 0.6173 1
O2 O 0.0000 0.2308 0.2500 1
O3 O 0.0000 0.3120 0.5697 1
```

Record 5
Starting from DFT lattice parameters and positions (PBE+U), the PXRD pattern of AlVW2O8 was simulated for Cu Kα, 1.54184 Å.

Peak list (8 most intense, 15° ≤ 2θ ≤ 90°, most intense first)
| d [Å] | Position (°2θ) | Rel. int. | h k l |
| --- | --- | --- | --- |
| 2.923 | 30.6 | 100 | 1 1 1 |
| 2.912 | 30.7 | 99 | 1 1 -3 |
| 4.604 | 19.3 | 89 | 0 0 2 |
| 3.771 | 23.6 | 87 | 1 1 -1 |
| 3.543 | 25.1 | 75 | 0 1 2 |
| 2.441 | 36.8 | 48 | 1 2 -1 |
| 2.155 | 41.9 | 45 | 1 2 -3 |
| 2.571 | 34.9 | 37 | 2 0 -2 |

```
data_AlVW2O8
_symmetry_space_group_name_H-M 'P 1 2/c 1'
_symmetry_Int_Tables_number 13
_symmetry_space_group_name_Hall '-P 2yc'
_cell_length_a 5.1422
_cell_length_b 5.5476
_cell_length_c 10.5249
_cell_angle_alpha 90.00
_cell_angle_beta 118.97
_cell_angle_gamma 90.00
loop_
_atom_site_label
_atom_site_type_symbol
_atom_site_fract_x
_atom_site_fract_y
_atom_site_fract_z
_atom_site_occupancy
Al1 Al 0.0000 0.1565 0.2500 1
V1 V 0.5000 0.1409 0.7500 1
W1 W 0.2529 0.3348 0.0006 1
O1 O 0.2015 0.3782 0.6091 1
O2 O 0.2097 0.1270 0.1427 1
O3 O 0.2635 0.1142 0.8657 1
O4 O 0.2993 0.3783 0.3819 1
```

Record 6
Starting from DFT lattice parameters and positions (PBE+U), the PXRD pattern of Al2W3O12 was simulated for Cu Kα, 1.54184 Å.

Peak list (8 most intense, 15° ≤ 2θ ≤ 90°, most intense first)
| d [Å] | Position (°2θ) | Rel. int. | h k l |
| --- | --- | --- | --- |
| 4.633 | 19.2 | 100 | 1 0 0 |
| 4.556 | 19.5 | 91 | 0 1 1 |
| 3.321 | 26.8 | 70 | 1 1 1 |
| 3.180 | 28.1 | 60 | -1 1 1 |
| 2.538 | 35.4 | 51 | 0 2 -1 |
| 3.046 | 29.3 | 33 | 0 1 -2 |
| 2.244 | 40.2 | 27 | 1 2 -1 |
| 2.554 | 35.1 | 26 | 1 -1 2 |

```
data_Al2W3O12
_symmetry_space_group_name_H-M 'P -1'
_symmetry_Int_Tables_number 2
_symmetry_space_group_name_Hall '-P 1'
_cell_length_a 4.6376
_cell_length_b 5.4973
_cell_length_c 7.5917
_cell_angle_alpha 87.03
_cell_angle_beta 88.18
_cell_angle_gamma 88.17
loop_
_atom_site_label
_atom_site_type_symbol
_atom_site_fract_x
_atom_site_fract_y
_atom_site_fract_z
_atom_site_occupancy
Al1 Al 0.0034 0.1539 0.3389 1
W1 W 0.4962 0.3536 0.6789 1
W2 W 0.5000 0.0000 0.0000 1
O1 O 0.1972 0.8628 0.4357 1
O2 O 0.2054 0.5673 0.7392 1
O3 O 0.2109 0.1590 0.1279 1
O4 O 0.2873 0.0534 0.7670 1
O5 O 0.3019 0.3645 0.4367 1
O6 O 0.3402 0.6890 0.0971 1
```

Record 7
Starting from DFT lattice parameters and positions (PBE+U), the PXRD pattern of AlWO4 was simulated for Cu Kα, 1.54184 Å.

Peak list (8 most intense, 15° ≤ 2θ ≤ 90°, most intense first)
| d [Å] | Position (°2θ) | Rel. int. | h k l |
| --- | --- | --- | --- |
| 3.238 | 27.5 | 100 | 1 1 -1 |
| 5.044 | 17.6 | 69 | 1 0 0 |
| 2.533 | 35.4 | 57 | 0 0 2 |
| 3.402 | 26.2 | 55 | 0 1 1 |
| 1.701 | 53.9 | 33 | 1 1 -3 |
| 2.338 | 38.5 | 21 | 2 1 -1 |
| 2.522 | 35.6 | 19 | 2 0 0 |
| 1.697 | 54.0 | 17 | 2 2 0 |

```
data_AlWO4
_symmetry_space_group_name_H-M 'P 1 21/c 1'
_symmetry_Int_Tables_number 14
_symmetry_space_group_name_Hall '-P 2ybc'
_cell_length_a 5.4737
_cell_length_b 4.5873
_cell_length_c 5.5026
_cell_angle_alpha 90.00
_cell_angle_beta 112.84
_cell_angle_gamma 90.00
loop_
_atom_site_label
_atom_site_type_symbol
_atom_site_fract_x
_atom_site_fract_y
_atom_site_fract_z
_atom_site_occupancy
Al1 Al 0.0000 0.0000 0.0000 1
W1 W 0.5000 0.0000 0.5000 1
O1 O 0.1465 0.1987 0.3371 1
O2 O 0.3392 0.6905 0.6390 1
```

Record 8
Starting from DFT lattice parameters and positions (PBE+U), the PXRD pattern of Al2WO5 was simulated for Cu Kα, 1.54184 Å.

Peak list (8 most intense, 15° ≤ 2θ ≤ 90°, most intense first)
| d [Å] | Position (°2θ) | Rel. int. | h k l |
| --- | --- | --- | --- |
| 5.797 | 15.3 | 100 | 0 2 0 |
| 3.727 | 23.9 | 90 | 0 2 1 |
| 2.583 | 34.7 | 55 | 1 1 1 |
| 2.446 | 36.8 | 33 | 1 3 0 |
| 2.185 | 41.3 | 31 | 1 3 1 |
| 1.829 | 49.9 | 30 | 1 2 2 |
| 4.487 | 19.8 | 27 | 0 1 1 |
| 2.490 | 36.1 | 25 | 0 4 1 |

```
data_Al2WO5
_symmetry_space_group_name_H-M 'P m m n'
_symmetry_Int_Tables_number 59
_cell_length_a 3.1582
_cell_length_b 11.5940
_cell_length_c 4.8667
_cell_angle_alpha 90.00
_cell_angle_beta 90.00
_cell_angle_gamma 90.00
loop_
_symmetry_equiv_pos_as_xyz
'x,y,z'
'-x,-y,-z'
'-x+1/2,-y+1/2,z'
'x+1/2,y+1/2,-z'
'x+1/2,-y,-z'
'-x+1/2,y,z'
'-x,y+1/2,-z'
'x,-y+1/2,z'
loop_
_atom_site_label
_atom_site_type_symbol
_atom_site_fract_x
_atom_site_fract_y
_atom_site_fract_z
_atom_site_occupancy
Al1 Al 0.2500 0.0985 0.0620 1
W1 W 0.2500 0.7500 0.4180 1
O1 O 0.2500 0.1441 0.4116 1
O2 O 0.2500 0.2500 0.8920 1
O3 O 0.2500 0.5717 0.1000 1
```

Record 9
Starting from DFT lattice parameters and positions (PBE+U), the PXRD pattern of YAl2WO8 was simulated for Cu Kα, 1.54184 Å.

Peak list (8 most intense, 15° ≤ 2θ ≤ 90°, most intense first)
| d [Å] | Position (°2θ) | Rel. int. | h k l |
| --- | --- | --- | --- |
| 4.608 | 19.3 | 100 | 1 1 0 |
| 2.614 | 34.3 | 90 | 1 1 2 |
| 3.275 | 27.2 | 65 | 0 2 0 |
| 3.241 | 27.5 | 58 | 2 0 0 |
| 1.734 | 52.8 | 44 | 1 3 2 |
| 2.268 | 39.7 | 43 | 2 0 2 |
| 1.723 | 53.2 | 37 | 3 1 2 |
| 3.729 | 23.9 | 26 | 1 1 1 |

```
data_YAl2WO8
_symmetry_space_group_name_H-M 'C m m m'
_symmetry_Int_Tables_number 65
_symmetry_space_group_name_Hall '-C 2 2'
_cell_length_a 6.4817
_cell_length_b 6.5510
_cell_length_c 6.3483
_cell_angle_alpha 90.00
_cell_angle_beta 90.00
_cell_angle_gamma 90.00
loop_
_atom_site_label
_atom_site_type_symbol
_atom_site_fract_x
_atom_site_fract_y
_atom_site_fract_z
_atom_site_occupancy
Y1 Y 0.0000 0.0000 0.0000 1
Al1 Al 0.0000 0.5000 0.2614 1
W1 W 0.0000 0.0000 0.5000 1
O1 O 0.0000 0.3030 0.5000 1
O2 O 0.0000 0.3355 0.0000 1
O3 O 0.2081 0.0000 0.2825 1
```